Diffraction record for NpMnAlRu. The X-ray diffraction stick pattern is theoretical, not measured: it uses a crystal structure in Alexandria, relaxed with GGA-PBE and Cu Kα.
Kinematic intensities with the Lorentz-polarization factor, no thermal factor.

Structural model:
Unit cell a=4.4953 b=4.4953 c=4.4953 alpha=60.00 beta=60.00 gamma=60.00
Positions (direct):
Np: 0.0000 0.0000 0.0000
Mn: 0.2500 0.2500 0.2500
Al: 0.5000 0.5000 0.5000
Ru: 0.7500 0.7500 0.7500

Peak list (10 most intense, 10° ≤ 2θ ≤ 80°, by angle)
| two_theta | I_rel |
| --- | --- |
| 24.2 | 61 |
| 28.1 | 7 |
| 40.1 | 100 |
| 47.4 | 32 |
| 49.7 | 2 |
| 58.0 | 17 |
| 63.8 | 14 |
| 65.7 | 3 |
| 72.9 | 34 |
| 78.1 | 10 |